Simulated powder XRD pattern
Compound: KZrVF7
Radiation: Cu Kα (weighted mean of Kα1 and Kα2)
Structure: a structure optimized by DFT (PBE+U)

```
data_KZrVF7
_chemical_formula_sum 'K4 Zr4 V4 F28'
_cell_length_a 11.3430
_cell_length_b 8.0532
_cell_length_c 6.5852
_cell_angle_alpha 90.00
_cell_angle_beta 90.00
_cell_angle_gamma 90.00
_symmetry_space_group_name_H-M 'P 1'
_symmetry_Int_Tables_number 1
loop_
_symmetry_equiv_pos_as_xyz
'x,y,z'
loop_
_atom_site_label
_atom_site_type_symbol
_atom_site_fract_x
_atom_site_fract_y
_atom_site_fract_z
K1 K 0.2500 0.0000 0.2357
K2 K 0.2500 0.5000 0.2643
K3 K 0.7500 0.0000 0.7643
K4 K 0.7500 0.5000 0.7357
Zr1 Zr 0.0931 0.2500 0.7500
Zr2 Zr 0.4069 0.7500 0.7500
Zr3 Zr 0.5931 0.2500 0.2500
Zr4 Zr 0.9069 0.7500 0.2500
V1 V 0.0978 0.7500 0.7500
V2 V 0.4022 0.2500 0.7500
V3 V 0.5978 0.7500 0.2500
V4 V 0.9022 0.2500 0.2500
F1 F 0.0433 0.1914 0.4483
F2 F 0.0433 0.3086 0.0517
F3 F 0.0860 0.7500 0.2500
F4 F 0.1026 0.0044 0.8367
F5 F 0.1026 0.4956 0.6633
F6 F 0.2496 0.2101 0.5691
F7 F 0.2496 0.2899 0.9309
F8 F 0.2504 0.7101 0.9309
F9 F 0.2504 0.7899 0.5691
F10 F 0.3974 0.5044 0.6633
F11 F 0.3974 0.9956 0.8367
F12 F 0.4140 0.2500 0.2500
F13 F 0.4567 0.6914 0.0517
F14 F 0.4567 0.8086 0.4483
F15 F 0.5433 0.1914 0.5517
F16 F 0.5433 0.3086 0.9483
F17 F 0.5860 0.7500 0.7500
F18 F 0.6026 0.0044 0.1633
F19 F 0.6026 0.4956 0.3367
F20 F 0.7496 0.2101 0.4309
F21 F 0.7496 0.2899 0.0691
F22 F 0.7504 0.7101 0.0691
F23 F 0.7504 0.7899 0.4309
F24 F 0.8974 0.5044 0.3367
F25 F 0.8974 0.9956 0.1633
F26 F 0.9140 0.2500 0.7500
F27 F 0.9567 0.6914 0.9483
F28 F 0.9567 0.8086 0.5517
```

Most intense lines, 5° ≤ 2θ ≤ 70°, most intense first:
two_theta  I (rel.)  h k l
27.11  100  0 0 2
27.20  67  3 0 1
53.37  48  0 4 2
22.08  45  0 2 0
15.56  41  1 0 1
47.91  32  3 0 3
48.00  31  4 2 2
19.10  30  1 1 1
45.03  20  0 4 0
38.73  18  2 2 2